The following is a computed powder XRD pattern of Cu4H7SO11. It was derived from the GGA-PBE geometry in the Materials Project, using Cu Kα (weighted mean of Kα1 and Kα2).
Lines closer than 0.1° are merged.

Atomic structure:
```
data_Cu4H7SO11
_chemical_formula_sum 'Cu8 H14 S2 O22'
_cell_length_a 8.2649
_cell_length_b 6.5259
_cell_length_c 11.0456
_cell_angle_alpha 90.00
_cell_angle_beta 118.71
_cell_angle_gamma 90.00
_symmetry_space_group_name_H-M 'P 1 c 1'
_symmetry_Int_Tables_number 7
loop_
_symmetry_equiv_pos_as_xyz
'x,y,z'
'x,-y,z+1/2'
loop_
_atom_site_label
_atom_site_fract_x
_atom_site_fract_y
_atom_site_fract_z
Cu1 0.0000 0.0083 0.0000
Cu2 0.0361 0.4718 0.0411
Cu3 0.8690 0.3044 0.1791
Cu4 0.9247 0.1781 0.7161
H1 0.1392 0.1516 0.2419
H2 0.2710 0.3292 0.9361
H3 0.3073 0.2672 0.0818
H4 0.3374 0.0106 0.2541
H5 0.4631 0.2387 0.8581
H6 0.5212 0.4382 0.9514
H7 0.7257 0.0427 0.2661
S1 0.3751 0.2565 0.5633
O1 0.1418 0.0160 0.2034
O2 0.1759 0.2607 0.5358
O3 0.2017 0.2993 0.9917
O4 0.3875 0.2279 0.4383
O5 0.4167 0.3490 0.8949
O6 0.4534 0.0281 0.6366
O7 0.4770 0.0133 0.7771
O8 0.4875 0.4119 0.6593
O9 0.8558 0.0631 0.2890
O10 0.8660 0.2469 0.0012
O11 0.9509 0.4339 0.6638
```

The 10 most intense peaks (5 to 70 degrees two-theta), in order of rising 2θ:
2θ/deg	d (Å)	I_rel
12.21	7.249	1000
18.31	4.844	305
24.56	3.625	402
26.59	3.352	217
32.05	2.793	308
32.88	2.724	181
33.17	2.700	164
35.68	2.516	207
37.08	2.424	225
42.97	2.105	116


The following is a computed powder XRD pattern of CuH10SO9. It was derived from the GGA-PBE geometry in the Materials Project, using Cu Kα (weighted mean of Kα1 and Kα2).
Lines closer than 0.1° are merged.

Atomic structure:
```
data_CuH10SO9
_chemical_formula_sum 'Cu2 H20 S2 O18'
_cell_length_a 5.8802
_cell_length_b 6.8011
_cell_length_c 11.8609
_cell_angle_alpha 100.52
_cell_angle_beta 100.20
_cell_angle_gamma 97.31
_symmetry_space_group_name_H-M 'P -1'
_symmetry_Int_Tables_number 2
loop_
_symmetry_equiv_pos_as_xyz
'x,y,z'
'-x,-y,-z'
loop_
_atom_site_label
_atom_site_fract_x
_atom_site_fract_y
_atom_site_fract_z
Cu1 0.0000 0.0000 0.0000
Cu2 0.0000 0.0000 0.5000
H1 0.0226 0.3239 0.4481
H2 0.0319 0.8349 0.7252
H3 0.0355 0.3249 0.9459
H4 0.0497 0.7107 0.8297
H5 0.2692 0.1366 0.2338
H6 0.3343 0.2105 0.0687
H7 0.4173 0.5930 0.3284
H8 0.4487 0.2830 0.0871
H9 0.4705 0.7503 0.6837
H10 0.4968 0.0001 0.7393
S1 0.2644 0.3409 0.7393
O1 0.0196 0.1753 0.1956
O2 0.0474 0.2519 0.6516
O3 0.0596 0.8089 0.5964
O4 0.0887 0.7781 0.0454
O5 0.2291 0.4996 0.8306
O6 0.3972 0.1917 0.7809
O7 0.4219 0.1189 0.2877
O8 0.4370 0.4637 0.6688
O9 0.4528 0.0739 0.5174
```

The 10 most intense peaks (5 to 70 degrees two-theta), in order of rising 2θ:
2θ/deg	d (Å)	I_rel
13.43	6.595	495
15.52	5.708	383
18.30	4.849	540
18.79	4.723	1000
19.61	4.527	458
22.65	3.926	312
23.43	3.797	475
31.36	2.853	417
32.04	2.794	362
36.30	2.475	281


The following is a computed powder XRD pattern of CuH10SO9. It was derived from the GGA-PBE geometry in the Materials Project, using Cu Kα (weighted mean of Kα1 and Kα2).
Lines closer than 0.1° are merged.

Atomic structure:
```
data_CuH10SO9
_chemical_formula_sum 'Cu2 H20 S2 O18'
_cell_length_a 6.7062
_cell_length_b 6.8453
_cell_length_c 11.5514
_cell_angle_alpha 76.57
_cell_angle_beta 81.69
_cell_angle_gamma 72.28
_symmetry_space_group_name_H-M 'P -1'
_symmetry_Int_Tables_number 2
loop_
_symmetry_equiv_pos_as_xyz
'x,y,z'
'-x,-y,-z'
loop_
_atom_site_label
_atom_site_fract_x
_atom_site_fract_y
_atom_site_fract_z
Cu1 0.0000 0.0000 0.0000
Cu2 0.0000 0.5000 0.5000
H1 0.0473 0.1737 0.4216
H2 0.0956 0.6294 0.0605
H3 0.1125 0.8266 0.2426
H4 0.1560 0.2432 0.6528
H5 0.2020 0.0215 0.1776
H6 0.4105 0.8621 0.9889
H7 0.4166 0.9175 0.9250
H8 0.4312 0.6861 0.8382
H9 0.4314 0.9447 0.3705
H10 0.4347 0.7590 0.6080
S1 0.3798 0.3727 0.2299
O1 0.0109 0.2907 0.6314
O2 0.0493 0.7290 0.9875
O3 0.1672 0.8993 0.1634
O4 0.2173 0.5140 0.7670
O5 0.2372 0.2811 0.1870
O6 0.2753 0.3672 0.8509
O7 0.4055 0.6739 0.4460
O8 0.4688 0.1957 0.3534
O9 0.4797 0.8002 0.3528
```

The 10 most intense peaks (5 to 70 degrees two-theta), in order of rising 2θ:
2θ/deg	d (Å)	I_rel
13.88	6.380	448
14.52	6.099	446
16.55	5.355	508
16.70	5.309	564
17.30	5.126	454
20.27	4.382	576
21.96	4.048	516
23.13	3.846	1000
25.11	3.547	798
27.48	3.245	570